Calculated powder diffractogram
Compound: Nd2GaH2O6
Radiation: Cu Kα, 1.54184 Å
Structure: a structure optimized by DFT (GGA-PBE)
Kinematic intensities with the Lorentz-polarization factor, no thermal factor.

Structural model:
Unit cell a=5.787 b=5.787 c=5.787 alpha=52.08 beta=52.08 gamma=52.08
Fractional positions:
Nd (0.227, 0.227, 0.227)
Nd (0.773, 0.773, 0.773)
Ga (0.000, 0.000, 0.000)
H (0.420, 0.420, 0.420)
H (0.580, 0.580, 0.580)
O (0.255, 0.744, 0.744)
O (0.256, 0.256, 0.745)
O (0.256, 0.745, 0.256)
O (0.744, 0.255, 0.744)
O (0.744, 0.744, 0.255)
O (0.745, 0.256, 0.256)

Peak list (6 most intense, 2θ from 10° to 90°, sorted by position)
2θ = 23.45°, I 71; 2θ = 31.38°, I 99; 2θ = 35.33°, I 100; 2θ = 36.30°, I 59; 2θ = 42.85°, I 46; 2θ = 47.97°, I 62